Diffraction record for Ac4Br2N3. The powder X-ray diffraction pattern is simulated, not measured: it uses a GGA-PBE-relaxed structure and Cu Ka.
Neutral-atom scattering factors, no anomalous dispersion.

Atomic structure:
a = 6.5527 Å, b = 11.3898 Å, c = 28.5879 Å
α = 90.00°, β = 90.00°, γ = 90.00°
Space group Fddd (No. 70, origin choice 2)
Asymmetric unit:
1 Ac 0.1231 0.2915 0.0692
2 Br 0.1250 0.1250 0.5332
3 N 0.1250 0.1250 0.1250
4 N 0.1250 0.1250 0.3764

The 6 most intense peaks (15 to 90 degrees two-theta), by intensity:
2θ (°)  Rel. int.  index
27.3  100.0  1 3 1
27.9  54.9  2 0 2
35.1  54.0  1 3 7
24.9  44.5  0 0 8
15.9  31.6  1 1 1
39.5  28.3  1 3 9


Diffraction record for UPb2Se4. The powder X-ray diffraction pattern is simulated, not measured: it uses a GGA-PBE-relaxed structure and Cu Ka.
Neutral-atom scattering factors, no anomalous dispersion.

Atomic structure:
a = 7.6694 Å, b = 13.4969 Å, c = 4.2321 Å
α = 90.00°, β = 90.00°, γ = 90.00°
Space group Pbam (No. 55)
Asymmetric unit:
1 U 0.0000 0.0000 0.0000
2 Pb 0.1315 0.3355 0.5000
3 Se 0.1114 0.7999 0.0000
4 Se 0.2406 0.0406 0.5000

The 6 most intense peaks (15 to 90 degrees two-theta), by intensity:
2θ (°)  Rel. int.  index
24.9  100.0  1 1 1
32.2  79.9  2 1 1
22.9  60.5  1 3 0
28.9  48.9  1 4 0
46.1  47.3  3 3 1
17.5  40.6  1 2 0